Entry 1:
Starting from a GGA-PBE-relaxed structure, the X-ray diffraction stick pattern of Mn5SiB2 was calculated for Cu Kα (weighted mean of Kα1 and Kα2).
Kinematic intensities with the Lorentz-polarization factor, no thermal factor.

Top 12 peaks for 2θ from 10° to 90°, by angle:
hkl	2theta	I (rel.)
0 0 4	34.7	14.9
2 1 1	37.2	74.3
1 1 4	41.9	45.3
2 1 3	45.0	100.0
2 2 0	46.2	19.6
2 0 4	48.1	64.3
3 1 0	52.0	55.6
4 1 1	70.4	12.1
2 1 7	74.8	20.2
4 1 3	75.8	15.8
4 0 4	78.1	11.5
3 3 4	82.6	26.8

Atomic structure:
```
data_Mn5SiB2
_chemical_formula_sum 'Mn20 Si4 B8'
_symmetry_space_group_name_H-M 'I 4/m c m'
_symmetry_Int_Tables_number 140
_symmetry_space_group_name_Hall '-I 4 2c'
_cell_length_a 5.559
_cell_length_b 5.559
_cell_length_c 10.329
_cell_angle_alpha 90.00
_cell_angle_beta 90.00
_cell_angle_gamma 90.00
loop_
_atom_site_label
_atom_site_type_symbol
_atom_site_fract_x
_atom_site_fract_y
_atom_site_fract_z
Mn1 Mn 0.000 0.000 0.000
Mn2 Mn 0.167 0.333 0.137
Si1 Si 0.000 0.000 0.250
B1 B 0.121 0.379 0.500
```

Entry 2:
Starting from a GGA-PBE-relaxed structure, the X-ray diffraction stick pattern of Tb3MnB7 was calculated for Cu Kα (weighted mean of Kα1 and Kα2).
Kinematic intensities with the Lorentz-polarization factor, no thermal factor.

Top 12 peaks for 2θ from 10° to 90°, by angle:
hkl	2theta	I (rel.)
0 2 2	22.1	39.2
1 1 0	26.4	80.2
0 4 2	29.6	97.1
0 2 3	30.8	71.2
1 3 1	32.4	60.6
0 6 0	34.0	43.8
1 5 0	38.6	44.2
1 1 3	39.4	100.0
1 5 1	39.8	38.4
1 5 2	43.4	46.2
1 7 3	57.0	36.6
0 10 2	61.9	41.7

Atomic structure:
```
data_Tb3MnB7
_chemical_formula_sum 'Tb12 Mn4 B28'
_symmetry_space_group_name_H-M 'C m c m'
_symmetry_Int_Tables_number 63
_symmetry_space_group_name_Hall '-C 2c 2'
_cell_length_a 3.454
_cell_length_b 15.802
_cell_length_c 9.348
_cell_angle_alpha 90.00
_cell_angle_beta 90.00
_cell_angle_gamma 90.00
loop_
_atom_site_label
_atom_site_type_symbol
_atom_site_fract_x
_atom_site_fract_y
_atom_site_fract_z
Tb1 Tb 0.000 0.104 0.059
Tb2 Tb 0.000 0.241 0.750
Mn1 Mn 0.000 0.054 0.750
B1 B 0.000 0.273 0.032
B2 B 0.000 0.370 0.153
B3 B 0.000 0.460 0.750
B4 B 0.000 0.478 0.099
```

Entry 3:
Starting from a GGA-PBE-relaxed structure, the X-ray diffraction stick pattern of TbMnB4 was calculated for Cu Kα (weighted mean of Kα1 and Kα2).
Kinematic intensities with the Lorentz-polarization factor, no thermal factor.

Top 12 peaks for 2θ from 10° to 90°, by angle:
hkl	2theta	I (rel.)
1 2 0	21.6	27.7
0 0 1	26.1	66.2
1 3 0	27.8	34.4
2 1 0	31.2	90.8
1 2 1	34.1	24.1
1 4 0	34.8	17.9
1 3 1	38.5	50.3
2 1 1	41.1	100.0
1 4 1	44.0	24.0
2 3 1	47.1	20.1
0 0 2	53.6	16.3
2 1 2	63.4	28.1

Atomic structure:
```
data_TbMnB4
_chemical_formula_sum 'Tb4 Mn4 B16'
_symmetry_space_group_name_H-M 'P b a m'
_symmetry_Int_Tables_number 55
_symmetry_space_group_name_Hall '-P 2 2ab'
_cell_length_a 5.919
_cell_length_b 11.448
_cell_length_c 3.420
_cell_angle_alpha 90.00
_cell_angle_beta 90.00
_cell_angle_gamma 90.00
loop_
_atom_site_label
_atom_site_type_symbol
_atom_site_fract_x
_atom_site_fract_y
_atom_site_fract_z
Tb1 Tb 0.126 0.151 0.000
Mn1 Mn 0.128 0.416 0.000
B1 B 0.024 0.690 0.500
B2 B 0.112 0.546 0.500
B3 B 0.138 0.968 0.500
B4 B 0.219 0.816 0.500
```